This entry pairs a crystal structure of Ba4PrEuCu6O14 with its calculated powder diffraction line list. Radiation: Cu Kα. Structure: a cell relaxed with GGA-PBE.

Most intense lines, 2θ = 5–70°, sorted by position:
d = 11.957 Å, rel. 13, (0 2 0); d = 2.803 Å, rel. 91, (2 6 0); d = 2.780 Å, rel. 100, (0 6 1); d = 2.765 Å, rel. 91, (2 0 1); d = 2.272 Å, rel. 28, (2 6 1); d = 1.993 Å, rel. 21, (0 12 0); d = 1.971 Å, rel. 27, (4 0 0); d = 1.940 Å, rel. 26, (0 0 2); d = 1.617 Å, rel. 36, (2 12 1); d = 1.608 Å, rel. 38, (4 6 1); d = 1.595 Å, rel. 33, (2 6 2); d = 1.383 Å, rel. 16, (4 0 2)

Crystal structure
```
data_Ba4PrEuCu6O14
_cell_length_a 7.885
_cell_length_b 23.913
_cell_length_c 3.879
_cell_angle_alpha 90.00
_cell_angle_beta 90.00
_cell_angle_gamma 90.00
_space_group_name_H-M_alt 'C m m m'
_space_group_IT_number 65
_space_group_name_Hall '-C 2 2'
loop_
_atom_site_label
_atom_site_fract_x
_atom_site_fract_y
_atom_site_fract_z
_atom_site_occupancy
Ba1 0.000 0.160 0.000 1
Ba2 0.000 0.340 0.000 1
Pr1 0.000 0.000 0.000 1
Eu1 0.000 0.500 0.000 1
Cu1 0.248 0.424 0.500 1
Cu2 0.250 0.250 0.500 1
O1 0.000 0.065 0.500 1
O2 0.000 0.250 0.500 1
O3 0.000 0.436 0.500 1
O4 0.248 0.436 0.000 1
O5 0.250 0.172 0.500 1
```

This entry pairs a crystal structure of BaSrEuCu3O7 with its calculated powder diffraction line list. Radiation: Cu Kα. Structure: a cell relaxed with GGA-PBE.

Most intense lines, 2θ = 5–70°, sorted by position:
d = 11.778 Å, rel. 16, (0 0 1); d = 3.919 Å, rel. 8, (0 1 0); d = 2.772 Å, rel. 48, (0 1 3); d = 2.732 Å, rel. 100, (1 0 3); d = 2.241 Å, rel. 13, (1 1 3); d = 1.963 Å, rel. 11, (0 0 6); d = 1.957 Å, rel. 15, (0 2 0); d = 1.904 Å, rel. 14, (2 0 0); d = 1.593 Å, rel. 39, (1 2 3); d = 1.570 Å, rel. 17, (2 1 3); d = 1.386 Å, rel. 7, (0 2 6); d = 1.365 Å, rel. 8, (2 2 0)

Crystal structure
```
data_BaSrEuCu3O7
_cell_length_a 3.808
_cell_length_b 3.915
_cell_length_c 11.778
_cell_angle_alpha 90.00
_cell_angle_beta 90.00
_cell_angle_gamma 90.00
_space_group_name_H-M_alt 'P m m 2'
_space_group_IT_number 25
loop_
_space_group_symop_operation_xyz
'x,y,z'
'-x,-y,z'
'-x,y,z'
'x,-y,z'
loop_
_atom_site_label
_atom_site_fract_x
_atom_site_fract_y
_atom_site_fract_z
_atom_site_occupancy
Ba1 0.000 0.000 0.000 1
Sr1 0.000 0.000 0.359 1
Eu1 0.000 0.000 0.675 1
Cu1 0.500 0.500 0.182 1
Cu2 0.500 0.500 0.521 1
Cu3 0.500 0.500 0.829 1
O1 0.000 0.500 0.546 1
O2 0.000 0.500 0.804 1
O3 0.500 0.000 0.190 1
O4 0.500 0.000 0.543 1
O5 0.500 0.000 0.805 1
O6 0.500 0.500 0.023 1
O7 0.500 0.500 0.341 1
```